(1)
Diffraction record for Rb3Mg2Cd8. The XRD peak list is computed, not measured: it uses a crystal structure in Alexandria, relaxed with GGA-PBE and Cu Kα (weighted mean of Kα1 and Kα2).

Peak list (6 most intense, 15° ≤ 2θ ≤ 90°, in order of rising 2θ)
(0 2 -1), 24.41°, intensity 37; (0 2 0), 27.24°, intensity 42; (-1 2 1), 29.83°, intensity 52; (2 -2 2), 32.63°, intensity 100; (-2 1 2), 33.66°, intensity 64; (0 2 -4), 38.51°, intensity 38

Structural model:
abc: 6.779 8.054 9.610
angles: 113.78 90.09 114.81
Space group P-1 (No. 2)
Unique sites:
Rb: 0.000 0.000 0.000 (multiplicity 1)
Rb: 0.458 0.914 0.688 (multiplicity 2)
Mg: 0.073 0.143 0.670 (multiplicity 2)
Cd: 0.044 0.527 0.272 (multiplicity 2)
Cd: 0.157 0.318 0.441 (multiplicity 2)
Cd: 0.261 0.517 0.989 (multiplicity 2)
Cd: 0.482 0.527 0.275 (multiplicity 2)



(2)
Diffraction record for RbMg6Cd. The XRD peak list is computed, not measured: it uses a crystal structure in Alexandria, relaxed with GGA-PBE and Cu Kα (weighted mean of Kα1 and Kα2).

Peak list (6 most intense, 15° ≤ 2θ ≤ 90°, in order of rising 2θ)
(0 1 1), 15.08°, intensity 78; (1 0 2), 21.88°, intensity 40; (1 1 3), 30.17°, intensity 64; (1 0 4), 32.76°, intensity 45; (2 0 0), 34.11°, intensity 40; (1 2 2), 34.99°, intensity 100

Structural model:
abc: 5.256 6.614 12.805
angles: 90.00 90.00 90.00
Space group Amm2 (No. 38)
Unique sites:
Rb: 0.000 0.000 0.000 (multiplicity 2)
Mg: 0.000 0.000 0.439 (multiplicity 2)
Mg: 0.000 0.235 0.732 (multiplicity 4)
Mg: 0.500 0.000 0.612 (multiplicity 2)
Mg: 0.500 0.248 0.367 (multiplicity 4)
Cd: 0.500 0.000 0.173 (multiplicity 2)



(3)
Diffraction record for Rb2Mg2Cd15. The XRD peak list is computed, not measured: it uses a crystal structure in Alexandria, relaxed with GGA-PBE and Cu Kα (weighted mean of Kα1 and Kα2).

Peak list (6 most intense, 15° ≤ 2θ ≤ 90°, in order of rising 2θ)
(1 1 0), 16.96°, intensity 51; (0 2 4), 30.36°, intensity 21; (2 2 0), 34.30°, intensity 46; (3 0 3), 34.41°, intensity 100; (0 0 6), 34.73°, intensity 44; (2 2 3), 38.60°, intensity 86

Structural model:
abc: 10.4573 10.4573 15.4995
angles: 90.00 90.00 120.00
Space group R-3m (No. 166, hexagonal axes)
Unique sites:
Rb: 0.0000 0.0000 0.1560 (multiplicity 6)
Mg: 0.0000 0.0000 0.4004 (multiplicity 6)
Cd: 0.0000 0.2897 0.5000 (multiplicity 18)
Cd: 0.0000 0.5000 0.0000 (multiplicity 9)
Cd: 0.0008 0.5004 0.3514 (multiplicity 18)



(4)
Diffraction record for RbMg6Cd. The XRD peak list is computed, not measured: it uses a crystal structure in Alexandria, relaxed with GGA-PBE and Cu Kα (weighted mean of Kα1 and Kα2).

Peak list (6 most intense, 15° ≤ 2θ ≤ 90°, in order of rising 2θ)
(1 0 0), 16.35°, intensity 23; (1 0 2), 22.22°, intensity 26; (0 0 4), 30.19°, intensity 35; (2 0 0), 33.04°, intensity 24; (1 2 2), 34.53°, intensity 100; (2 0 4), 45.37°, intensity 22

Structural model:
abc: 5.422 6.827 11.853
angles: 90.00 90.00 90.00
Space group Amm2 (No. 38)
Unique sites:
Rb: 0.000 0.000 0.000 (multiplicity 2)
Mg: 0.000 0.245 0.251 (multiplicity 4)
Mg: 0.500 0.000 0.182 (multiplicity 2)
Mg: 0.500 0.000 0.666 (multiplicity 2)
Mg: 0.500 0.227 0.410 (multiplicity 4)
Cd: 0.000 0.000 0.490 (multiplicity 2)



(5)
Diffraction record for RbMg2Cd9. The XRD peak list is computed, not measured: it uses a crystal structure in Alexandria, relaxed with GGA-PBE and Cu Kα (weighted mean of Kα1 and Kα2).

Peak list (6 most intense, 15° ≤ 2θ ≤ 90°, in order of rising 2θ)
(2 0 1), 33.69°, intensity 100; (2 2 0), 35.12°, intensity 94; (2 1 1), 38.14°, intensity 29; (4 0 1), 49.46°, intensity 27; (4 2 1), 62.10°, intensity 26; (2 2 2), 67.12°, intensity 27

Structural model:
abc: 10.2210 10.2210 3.3283
angles: 90.00 90.00 120.00
Space group P6/mmm (No. 191)
Unique sites:
Rb: 0.0000 0.0000 0.0000 (multiplicity 1)
Mg: 0.3333 0.6667 0.0000 (multiplicity 2)
Cd: 0.0000 0.5000 0.0000 (multiplicity 3)
Cd: 0.1848 0.3696 0.5000 (multiplicity 6)



(6)
Diffraction record for Mg2CdRe. The XRD peak list is computed, not measured: it uses a crystal structure in Alexandria, relaxed with GGA-PBE and Cu Kα (weighted mean of Kα1 and Kα2).

Peak list (6 most intense, 15° ≤ 2θ ≤ 90°, in order of rising 2θ)
(1 0 1), 32.98°, intensity 33; (1 0 2), 37.09°, intensity 100; (1 0 3), 43.19°, intensity 24; (1 1 0), 45.15°, intensity 29; (1 1 4), 60.95°, intensity 22; (2 1 2), 77.99°, intensity 22

Structural model:
abc: 2.840 2.840 9.307
angles: 90.00 90.00 90.00
Space group P4mm (No. 99)
Unique sites:
Mg: 0.000 0.000 0.000 (multiplicity 1)
Mg: 0.500 0.500 0.277 (multiplicity 1)
Cd: 0.500 0.500 0.740 (multiplicity 1)
Re: 0.000 0.000 0.499 (multiplicity 1)



(7)
Diffraction record for Mg6Cd5Rh. The XRD peak list is computed, not measured: it uses a crystal structure in Alexandria, relaxed with GGA-PBE and Cu Kα (weighted mean of Kα1 and Kα2).

Peak list (6 most intense, 15° ≤ 2θ ≤ 90°, in order of rising 2θ)
(1 0 -2), 25.64°, intensity 55; (0 2 0), 26.83°, intensity 25; (2 0 -1), 36.57°, intensity 53; (1 2 -2), 37.45°, intensity 100; (0 2 3), 45.93°, intensity 23; (3 2 -3), 66.41°, intensity 33

Structural model:
abc: 4.910 6.646 7.774
angles: 90.00 108.38 90.00
Space group P2/m (No. 10)
Unique sites:
Mg: 0.000 0.230 0.000 (multiplicity 2)
Mg: 0.341 0.236 0.692 (multiplicity 4)
Cd: 0.175 0.000 0.337 (multiplicity 2)
Cd: 0.179 0.500 0.350 (multiplicity 2)
Cd: 0.500 0.500 0.000 (multiplicity 1)
Rh: 0.500 0.000 0.000 (multiplicity 1)



(8)
Diffraction record for Mg4Cd5Rh. The XRD peak list is computed, not measured: it uses a crystal structure in Alexandria, relaxed with GGA-PBE and Cu Kα (weighted mean of Kα1 and Kα2).

Peak list (6 most intense, 15° ≤ 2θ ≤ 90°, in order of rising 2θ)
(1 0 2), 18.16°, intensity 100; (1 1 -1), 30.05°, intensity 78; (2 0 4), 36.79°, intensity 79; (4 0 -2), 37.43°, intensity 67; (2 0 -6), 37.69°, intensity 66; (3 1 -1), 40.22°, intensity 58

Structural model:
abc: 9.614 3.150 14.647
angles: 90.00 107.62 90.00
Space group P2/c (No. 13)
Unique sites:
Mg: 0.123 0.249 0.450 (multiplicity 4)
Mg: 0.341 0.247 0.830 (multiplicity 4)
Cd: 0.000 0.244 0.750 (multiplicity 2)
Cd: 0.194 0.257 0.151 (multiplicity 4)
Cd: 0.404 0.251 0.047 (multiplicity 4)
Rh: 0.500 0.253 0.250 (multiplicity 2)



(9)
Diffraction record for Mg4CdRh2. The XRD peak list is computed, not measured: it uses a crystal structure in Alexandria, relaxed with GGA-PBE and Cu Kα (weighted mean of Kα1 and Kα2).

Peak list (6 most intense, 15° ≤ 2θ ≤ 90°, in order of rising 2θ)
(1 0 0), 20.02°, intensity 21; (0 0 2), 27.04°, intensity 20; (1 1 0), 28.47°, intensity 34; (1 1 2), 39.66°, intensity 100; (2 0 0), 40.70°, intensity 47; (3 1 2), 73.37°, intensity 31

Structural model:
abc: 4.434 4.434 6.596
angles: 90.00 90.00 90.00
Space group P4/mmm (No. 123)
Unique sites:
Mg: 0.000 0.500 0.226 (multiplicity 4)
Cd: 0.000 0.000 0.500 (multiplicity 1)
Rh: 0.000 0.000 0.000 (multiplicity 1)
Rh: 0.500 0.500 0.500 (multiplicity 1)



(10)
Diffraction record for Mg3CdRh4. The XRD peak list is computed, not measured: it uses a crystal structure in Alexandria, relaxed with GGA-PBE and Cu Kα (weighted mean of Kα1 and Kα2).

Peak list (6 most intense, 15° ≤ 2θ ≤ 90°, in order of rising 2θ)
(1 0 4), 28.31°, intensity 19; (1 1 0), 40.47°, intensity 100; (2 0 8), 58.57°, intensity 16; (2 1 4), 66.31°, intensity 6; (3 0 0), 73.61°, intensity 32; (2 2 0), 87.54°, intensity 10

Structural model:
abc: 4.4589 4.4589 21.8273
angles: 90.00 90.00 120.00
Space group R-3m (No. 166, hexagonal axes)
Unique sites:
Mg: 0.0000 0.0000 0.0000 (multiplicity 3)
Mg: 0.0000 0.0000 0.2498 (multiplicity 6)
Cd: 0.0000 0.0000 0.5000 (multiplicity 3)
Rh: 0.0000 0.0000 0.1227 (multiplicity 6)
Rh: 0.0000 0.0000 0.3735 (multiplicity 6)



(11)
Diffraction record for Mg2Cd3Rh3. The XRD peak list is computed, not measured: it uses a crystal structure in Alexandria, relaxed with GGA-PBE and Cu Kα (weighted mean of Kα1 and Kα2).

Peak list (6 most intense, 15° ≤ 2θ ≤ 90°, in order of rising 2θ)
(1 0 0), 20.92°, intensity 15; (1 1 2), 38.24°, intensity 100; (2 0 0), 42.57°, intensity 37; (2 0 4), 66.10°, intensity 18; (1 3 2), 74.97°, intensity 13; (3 1 2), 75.09°, intensity 13

Structural model:
abc: 4.243 4.252 7.576
angles: 90.00 90.00 90.00
Space group Pmmm (No. 47)
Unique sites:
Mg: 0.000 0.000 0.223 (multiplicity 2)
Cd: 0.500 0.000 0.500 (multiplicity 1)
Cd: 0.500 0.500 0.238 (multiplicity 2)
Rh: 0.000 0.500 0.000 (multiplicity 1)
Rh: 0.000 0.500 0.500 (multiplicity 1)
Rh: 0.500 0.000 0.000 (multiplicity 1)



(12)
Diffraction record for MgCd8Rh2. The XRD peak list is computed, not measured: it uses a crystal structure in Alexandria, relaxed with GGA-PBE and Cu Kα (weighted mean of Kα1 and Kα2).

Peak list (6 most intense, 15° ≤ 2θ ≤ 90°, in order of rising 2θ)
(2 2 1), 32.51°, intensity 32; (0 4 1), 37.39°, intensity 100; (3 1 1), 37.57°, intensity 76; (0 0 2), 39.26°, intensity 88; (3 3 2), 56.73°, intensity 27; (6 4 1), 76.80°, intensity 23

Structural model:
abc: 8.694 11.297 4.586
angles: 90.00 90.00 90.00
Space group Cmmm (No. 65)
Unique sites:
Mg: 0.000 0.000 0.000 (multiplicity 2)
Cd: 0.000 0.256 0.000 (multiplicity 4)
Cd: 0.165 0.500 0.000 (multiplicity 4)
Cd: 0.174 0.136 0.500 (multiplicity 8)
Rh: 0.000 0.383 0.500 (multiplicity 4)